(1)
Simulated X-ray powder pattern of TlCo2Pb2 for CuKα, from a crystal structure in Alexandria, relaxed with PBE.
Peak positions follow from Bragg's law for the DFT cell and can differ from measured ones.

Cell and atoms:
abc: 4.8177 4.8177 9.9330
angles: 90.00 90.00 90.00
Space group I4/mmm (No. 139)
One atom of each set of equivalent atoms:
Tl 0.0000 0.0000 0.0000 [2 per cell]
Co 0.0000 0.0000 0.3901 [4 per cell]
Pb 0.0000 0.5000 0.2500 [4 per cell]

Largest 6 diffraction maxima, in order of rising 2θ, 10° ≤ 2θ ≤ 90°:
d_spacing, I (rel.)
2.809, 100
2.729, 16
2.409, 44
1.729, 15
1.703, 15
1.456, 28

(2)
Simulated X-ray powder pattern of Tm5CoPb4 for CuKα, from a crystal structure in Alexandria, relaxed with PBE.
Peak positions follow from Bragg's law for the DFT cell and can differ from measured ones.

Cell and atoms:
abc: 10.1205 10.1205 5.3498
angles: 90.00 90.00 90.00
Space group I4/mmm (No. 139)
One atom of each set of equivalent atoms:
Tm 0.0000 0.0000 0.0000 [2 per cell]
Tm 0.1761 0.1761 0.5000 [8 per cell]
Co 0.0000 0.0000 0.5000 [2 per cell]
Pb 0.0000 0.3233 0.0000 [8 per cell]

Largest 6 diffraction maxima, in order of rising 2θ, 10° ≤ 2θ ≤ 90°:
d_spacing, I (rel.)
2.854, 100
2.675, 25
2.385, 35
1.780, 29
1.577, 17
1.452, 24

(3)
Simulated X-ray powder pattern of Tm8Co2Pb for CuKα, from a crystal structure in Alexandria, relaxed with PBE.
Peak positions follow from Bragg's law for the DFT cell and can differ from measured ones.

Cell and atoms:
abc: 8.5511 12.9527 5.2778
angles: 90.00 103.44 90.00
Space group C2/m (No. 12)
One atom of each set of equivalent atoms:
Tm 0.0000 0.2488 0.0000 [4 per cell]
Tm 0.1070 0.0000 0.7965 [4 per cell]
Tm 0.2021 0.3676 0.5766 [8 per cell]
Co 0.0000 0.1913 0.5000 [4 per cell]
Pb 0.0000 0.5000 0.0000 [2 per cell]

Largest 6 diffraction maxima, in order of rising 2θ, 10° ≤ 2θ ≤ 90°:
d_spacing, I (rel.)
3.241, 41
2.917, 87
2.739, 100
2.660, 70
2.578, 49
2.555, 77

(4)
Simulated X-ray powder pattern of Tm5CoPb for CuKα, from a crystal structure in Alexandria, relaxed with PBE.
Peak positions follow from Bragg's law for the DFT cell and can differ from measured ones.

Cell and atoms:
abc: 10.9811 6.6907 11.1009
angles: 90.00 110.21 90.00
Space group C2/c (No. 15)
One atom of each set of equivalent atoms:
Tm 0.0000 0.0241 0.2500 [4 per cell]
Tm 0.1210 0.3195 0.0435 [8 per cell]
Tm 0.2115 0.1874 0.6359 [8 per cell]
Co 0.0000 0.0000 0.0000 [4 per cell]
Pb 0.0000 0.4721 0.7500 [4 per cell]

Largest 6 diffraction maxima, in order of rising 2θ, 10° ≤ 2θ ≤ 90°:
d_spacing, I (rel.)
3.158, 33
2.847, 52
2.806, 53
2.734, 100
2.713, 77
2.691, 38

(5)
Simulated X-ray powder pattern of Co2PbW for CuKα, from a crystal structure in Alexandria, relaxed with PBE.
Peak positions follow from Bragg's law for the DFT cell and can differ from measured ones.

Cell and atoms:
abc: 3.1321 3.1303 6.4370
angles: 90.00 90.10 90.00
Space group P2/m (No. 10)
One atom of each set of equivalent atoms:
Co 0.0013 0.0000 0.1947 [2 per cell]
Pb 0.5000 0.5000 0.5000 [1 per cell]
W 0.5000 0.5000 0.0000 [1 per cell]

Largest 6 diffraction maxima, in order of rising 2θ, 10° ≤ 2θ ≤ 90°:
d_spacing, I (rel.)
3.218, 24
3.131, 36
2.244, 100
2.214, 54
1.824, 20
1.284, 33

(6)
Simulated X-ray powder pattern of Co2Pd for CuKα, from a crystal structure in Alexandria, relaxed with PBE.
Peak positions follow from Bragg's law for the DFT cell and can differ from measured ones.

Cell and atoms:
abc: 2.6369 2.6369 6.3058
angles: 90.00 90.00 120.00
Space group P-3m1 (No. 164)
One atom of each set of equivalent atoms:
Co 0.3333 0.6667 0.1498 [2 per cell]
Pd 0.0000 0.0000 0.5000 [1 per cell]

Largest 6 diffraction maxima, in order of rising 2θ, 10° ≤ 2θ ≤ 90°:
d_spacing, I (rel.)
2.147, 100
2.102, 28
1.849, 58
1.318, 18
1.297, 19
1.117, 20

(7)
Simulated X-ray powder pattern of Co7Pd for CuKα, from a crystal structure in Alexandria, relaxed with PBE.
Peak positions follow from Bragg's law for the DFT cell and can differ from measured ones.

Cell and atoms:
abc: 5.1152 5.1152 4.0831
angles: 90.00 90.00 120.00
Space group P-6m2 (No. 187)
One atom of each set of equivalent atoms:
Co 0.0000 0.0000 0.0000 [1 per cell]
Co 0.0141 0.5071 0.0000 [3 per cell]
Co 0.1679 0.3357 0.5000 [3 per cell]
Pd 0.6667 0.3333 0.5000 [1 per cell]

Largest 6 diffraction maxima, in order of rising 2θ, 10° ≤ 2θ ≤ 90°:
d_spacing, I (rel.)
2.215, 26
2.042, 26
1.947, 100
1.501, 14
1.279, 15
1.160, 16

(8)
Simulated X-ray powder pattern of CoPd for CuKα, from a crystal structure in Alexandria, relaxed with PBE.
Peak positions follow from Bragg's law for the DFT cell and can differ from measured ones.

Cell and atoms:
abc: 8.2594 8.2594 3.3475
angles: 90.00 90.00 90.00
Space group I4/mmm (No. 139)
One atom of each set of equivalent atoms:
Co 0.0000 0.3514 0.0000 [8 per cell]
Pd 0.1608 0.1608 0.5000 [8 per cell]

Largest 6 diffraction maxima, in order of rising 2θ, 10° ≤ 2θ ≤ 90°:
d_spacing, I (rel.)
3.102, 21
2.612, 14
2.126, 100
1.947, 37
1.269, 17
1.156, 23

(9)
Simulated X-ray powder pattern of Pm8Co2Pd for CuKα, from a crystal structure in Alexandria, relaxed with PBE.
Peak positions follow from Bragg's law for the DFT cell and can differ from measured ones.

Cell and atoms:
abc: 17.5474 5.1311 6.7483
angles: 90.00 101.93 90.00
Space group C2/m (No. 12)
One atom of each set of equivalent atoms:
Pm 0.0445 0.0000 0.2796 [4 per cell]
Pm 0.0896 0.5000 0.9426 [4 per cell]
Pm 0.1736 0.5000 0.4704 [4 per cell]
Pm 0.1996 0.0000 0.8387 [4 per cell]
Co 0.2022 0.0000 0.2345 [4 per cell]
Pd 0.0000 0.5000 0.5000 [2 per cell]

Largest 6 diffraction maxima, in order of rising 2θ, 10° ≤ 2θ ≤ 90°:
d_spacing, I (rel.)
3.125, 57
2.819, 57
2.801, 100
2.669, 36
2.566, 65
2.032, 24

(10)
Simulated X-ray powder pattern of Pm8Co2Pd for CuKα, from a crystal structure in Alexandria, relaxed with PBE.
Peak positions follow from Bragg's law for the DFT cell and can differ from measured ones.

Cell and atoms:
abc: 8.2795 12.4417 6.3481
angles: 90.00 107.65 90.00
Space group Cm (No. 8)
One atom of each set of equivalent atoms:
Pm 0.0000 0.0000 0.0000 [2 per cell]
Pm 0.0816 0.3628 0.8130 [4 per cell]
Pm 0.1577 0.1345 0.5902 [4 per cell]
Pm 0.2299 0.5000 0.3955 [2 per cell]
Pm 0.3728 0.2146 0.2042 [4 per cell]
Co 0.3661 0.3119 0.6921 [4 per cell]
Pd 0.3611 0.0000 0.0136 [2 per cell]

Largest 6 diffraction maxima, in order of rising 2θ, 10° ≤ 2θ ≤ 90°:
d_spacing, I (rel.)
3.065, 75
2.959, 100
2.923, 92
2.766, 84
2.670, 83
2.281, 73

(11)
Simulated X-ray powder pattern of Pm4CoPd3 for CuKα, from a crystal structure in Alexandria, relaxed with PBE.
Peak positions follow from Bragg's law for the DFT cell and can differ from measured ones.

Cell and atoms:
abc: 3.8464 4.5368 10.6937
angles: 90.00 90.00 90.00
Space group Pmm2 (No. 25)
One atom of each set of equivalent atoms:
Pm 0.0000 0.0000 0.0000 [1 per cell]
Pm 0.0000 0.5000 0.2646 [1 per cell]
Pm 0.5000 0.0000 0.4764 [1 per cell]
Pm 0.5000 0.5000 0.7648 [1 per cell]
Co 0.5000 0.0000 0.2117 [1 per cell]
Pd 0.0000 0.0000 0.7129 [1 per cell]
Pd 0.0000 0.5000 0.5443 [1 per cell]
Pd 0.5000 0.5000 0.0477 [1 per cell]

Largest 6 diffraction maxima, in order of rising 2θ, 10° ≤ 2θ ≤ 90°:
d_spacing, I (rel.)
2.829, 100
2.673, 28
2.615, 25
2.266, 91
1.923, 19
1.729, 22

(12)
Simulated X-ray powder pattern of Pm4CoPd for CuKα, from a crystal structure in Alexandria, relaxed with PBE.
Peak positions follow from Bragg's law for the DFT cell and can differ from measured ones.

Cell and atoms:
abc: 7.0004 7.0004 6.4196
angles: 90.00 90.00 90.00
Space group P4/mcc (No. 124)
One atom of each set of equivalent atoms:
Pm 0.1734 0.3079 0.0000 [8 per cell]
Co 0.0000 0.0000 0.2500 [2 per cell]
Pd 0.5000 0.5000 0.2500 [2 per cell]

Largest 6 diffraction maxima, in order of rising 2θ, 10° ≤ 2θ ≤ 90°:
d_spacing, I (rel.)
2.814, 100
2.366, 60
2.214, 25
1.767, 25
1.641, 34
1.467, 20

(13)
Simulated X-ray powder pattern of Pr6CoPd2 for CuKα, from a crystal structure in Alexandria, relaxed with PBE.
Peak positions follow from Bragg's law for the DFT cell and can differ from measured ones.

Cell and atoms:
abc: 6.7942 7.5227 12.1805
angles: 90.00 121.42 90.00
Space group P2_1/c (No. 14)
One atom of each set of equivalent atoms:
Pr 0.1044 0.0360 0.2510 [4 per cell]
Pr 0.2390 0.6809 0.0688 [4 per cell]
Pr 0.3899 0.1803 0.0636 [4 per cell]
Co 0.0000 0.0000 0.0000 [2 per cell]
Pd 0.3217 0.1139 0.7623 [4 per cell]

Largest 6 diffraction maxima, in order of rising 2θ, 10° ≤ 2θ ≤ 90°:
d_spacing, I (rel.)
3.155, 49
3.047, 67
3.034, 79
2.997, 81
2.810, 100
2.352, 51

(14)
Simulated X-ray powder pattern of CoPd5Pt for CuKα, from a crystal structure in Alexandria, relaxed with PBE.
Peak positions follow from Bragg's law for the DFT cell and can differ from measured ones.

Cell and atoms:
abc: 5.0740 9.0065 7.0340
angles: 90.00 90.00 90.00
Space group Imm2 (No. 44)
One atom of each set of equivalent atoms:
Co 0.0000 0.0000 0.0000 [2 per cell]
Pd 0.0000 0.2504 0.3282 [4 per cell]
Pd 0.0000 0.5000 0.1501 [2 per cell]
Pd 0.2491 0.0000 0.3326 [4 per cell]
Pt 0.0000 0.5000 0.5117 [2 per cell]

Largest 6 diffraction maxima, in order of rising 2θ, 10° ≤ 2θ ≤ 90°:
d_spacing, I (rel.)
4.503, 59
4.421, 48
4.115, 72
2.307, 49
2.269, 48
1.871, 100